No. 1
The following is a computed X-ray diffraction stick pattern of NpTiRu. It was derived from a structure optimized by DFT (GGA-PBE), using CuKα.
No peak broadening, texture or thermal motion is included.

Unit cell a=5.789 b=13.247 c=7.921 alpha=90.00 beta=90.00 gamma=90.00
Space group Ima2 (No. 46)
Inequivalent atoms, fractional coordinates:
Np 0.000 0.000 0.000 [4 per cell]
Np 0.037 0.152 0.524 [8 per cell]
Ti 0.003 0.670 0.682 [8 per cell]
Ti 0.250 0.519 0.189 [4 per cell]
Ru 0.250 0.177 0.870 [4 per cell]
Ru 0.250 0.507 0.813 [4 per cell]
Ru 0.250 0.698 0.378 [4 per cell]

Top 12 peaks for 2θ from 10° to 80°, in order of rising 2θ:
(hkl)	2theta	Rel. int.
0 0 2	22.45	38
0 3 1	23.06	64
2 0 2	38.52	52
2 3 1	38.90	100
0 3 3	39.78	80
0 6 0	40.89	45
2 3 3	51.20	13
2 0 4	56.29	16
2 6 2	57.42	25
4 0 0	64.38	11
2 3 5	71.12	12
4 3 3	78.40	15

No. 2
The following is a computed X-ray diffraction stick pattern of BeVPd2. It was derived from a structure optimized by DFT (GGA-PBE), using CuKα.
No peak broadening, texture or thermal motion is included.

Unit cell a=2.737 b=2.737 c=6.824 alpha=90.00 beta=90.00 gamma=90.00
Space group P4/mmm (No. 123)
Inequivalent atoms, fractional coordinates:
Be 0.000 0.000 0.000 [1 per cell]
V 0.000 0.000 0.500 [1 per cell]
Pd 0.500 0.500 0.215 [2 per cell]

Top 12 peaks for 2θ from 10° to 80°, in order of rising 2θ:
(hkl)	2theta	Rel. int.
0 0 2	26.12	28
1 0 0	32.72	42
1 0 1	35.34	22
0 0 3	39.62	15
1 0 2	42.34	100
1 1 0	46.95	43
0 0 4	53.73	7
1 1 2	54.51	15
1 1 3	63.07	14
2 0 0	68.58	13
1 1 4	74.08	11
1 0 5	78.27	14

- Number 1 is which compound?
  NpTiRu

- What is the formula in the first record?
  NpTiRu